The following is a simulated X-ray powder pattern of La4Pr4Sm3. It was derived from a crystal structure in Alexandria, relaxed with GGA-PBE, using CuKα.
Intensities are scaled so that the largest is 100.

Top 8 peaks for 2θ = 10–90°, by angle:
(0 3 3), 2θ 30.0, intensity 85; (1 1 4), 2θ 30.4, intensity 100; (1 2 1), 2θ 30.7, intensity 52; (0 0 8), 2θ 31.7, intensity 27; (1 0 7), 2θ 37.0, intensity 25; (1 2 7), 2θ 41.6, intensity 25; (1 5 4), 2θ 55.9, intensity 26; (2 3 3), 2θ 59.0, intensity 25

Atomic structure:
a = 3.681 Å, b = 9.732 Å, c = 22.605 Å
α = 90.00°, β = 90.00°, γ = 90.00°
Space group Immm (No. 71)
Symmetry-distinct sites (fractional):
La (0.000, 0.169, 0.145) (multiplicity 8)
Pr (0.000, 0.311, 0.000) (multiplicity 4)
Pr (0.000, 0.500, 0.236) (multiplicity 4)
Sm (0.000, 0.000, 0.395) (multiplicity 4)
Sm (0.000, 0.500, 0.500) (multiplicity 2)



The following is a simulated X-ray powder pattern of La3Pr8Sm3. It was derived from a crystal structure in Alexandria, relaxed with GGA-PBE, using CuKα.
Intensities are scaled so that the largest is 100.

Top 8 peaks for 2θ = 10–90°, by angle:
(1 1 4), 2θ 28.5, intensity 31; (0 3 3), 2θ 29.6, intensity 27; (2 0 0), 2θ 30.7, intensity 51; (1 3 2), 2θ 30.9, intensity 100; (1 0 5), 2θ 32.3, intensity 51; (2 3 3), 2θ 43.2, intensity 20; (0 6 0), 2θ 49.5, intensity 19; (3 3 2), 2θ 54.7, intensity 20

Atomic structure:
a = 5.830 Å, b = 11.042 Å, c = 15.766 Å
α = 90.00°, β = 90.00°, γ = 90.00°
Space group Immm (No. 71)
Symmetry-distinct sites (fractional):
La (0.000, 0.000, 0.000) (multiplicity 2)
La (0.000, 0.308, 0.000) (multiplicity 4)
Pr (0.000, 0.158, 0.224) (multiplicity 8)
Pr (0.000, 0.336, 0.396) (multiplicity 8)
Sm (0.000, 0.000, 0.500) (multiplicity 2)
Sm (0.000, 0.500, 0.184) (multiplicity 4)



The following is a simulated X-ray powder pattern of LaPr6Sm. It was derived from a crystal structure in Alexandria, relaxed with GGA-PBE, using CuKα.
Intensities are scaled so that the largest is 100.

Top 8 peaks for 2θ = 10–90°, by angle:
(2 2 0), 2θ 29.5, intensity 100; (2 0 4), 2θ 34.2, intensity 51; (4 0 0), 2θ 49.0, intensity 12; (2 4 4), 2θ 49.1, intensity 24; (4 2 4), 2θ 58.3, intensity 29; (2 6 0), 2θ 58.4, intensity 14; (4 4 0), 2θ 61.2, intensity 13; (4 6 4), 2θ 79.6, intensity 15

Atomic structure:
a = 7.435 Å, b = 10.482 Å, c = 14.850 Å
α = 90.00°, β = 90.00°, γ = 90.00°
Space group Fmmm (No. 69)
Symmetry-distinct sites (fractional):
La (0.000, 0.000, 0.000) (multiplicity 4)
Pr (0.000, 0.000, 0.250) (multiplicity 8)
Pr (0.250, 0.250, 0.125) (multiplicity 16)
Sm (0.000, 0.000, 0.500) (multiplicity 4)



The following is a simulated X-ray powder pattern of La5Pr4Sm2. It was derived from a crystal structure in Alexandria, relaxed with GGA-PBE, using CuKα.
Intensities are scaled so that the largest is 100.

Top 8 peaks for 2θ = 10–90°, by angle:
(1 1 1), 2θ 26.9, intensity 67; (8 0 -1), 2θ 29.7, intensity 100; (2 0 -3), 2θ 30.3, intensity 80; (6 0 2), 2θ 30.7, intensity 79; (5 1 1), 2θ 32.6, intensity 86; (3 1 -2), 2θ 33.1, intensity 87; (3 1 4), 2θ 50.0, intensity 44; (5 1 -5), 2θ 59.2, intensity 50

Atomic structure:
a = 24.894 Å, b = 3.628 Å, c = 8.966 Å
α = 90.00°, β = 94.74°, γ = 90.00°
Space group C2/m (No. 12)
Symmetry-distinct sites (fractional):
La (0.000, 0.000, 0.000) (multiplicity 2)
La (0.133, 0.500, 0.051) (multiplicity 4)
La (0.185, 0.500, 0.472) (multiplicity 4)
Pr (0.042, 0.500, 0.345) (multiplicity 4)
Pr (0.088, 0.000, 0.698) (multiplicity 4)
Sm (0.227, 0.000, 0.826) (multiplicity 4)



The following is a simulated X-ray powder pattern of LaPrSm2. It was derived from a crystal structure in Alexandria, relaxed with GGA-PBE, using CuKα.
Intensities are scaled so that the largest is 100.

Top 8 peaks for 2θ = 10–90°, by angle:
(0 0 4), 2θ 28.1, intensity 58; (1 1 1), 2θ 29.0, intensity 100; (0 2 0), 2θ 29.5, intensity 56; (1 1 3), 2θ 35.3, intensity 98; (0 2 4), 2θ 41.1, intensity 42; (1 3 3), 2θ 56.1, intensity 26; (1 1 7), 2θ 58.5, intensity 30; (2 2 4), 2θ 65.7, intensity 21

Atomic structure:
a = 3.728 Å, b = 6.060 Å, c = 12.722 Å
α = 90.00°, β = 90.00°, γ = 90.00°
Space group Amm2 (No. 38)
Symmetry-distinct sites (fractional):
La (0.000, 0.000, 0.000) (multiplicity 2)
Pr (0.500, 0.000, 0.772) (multiplicity 2)
Sm (0.000, 0.000, 0.273) (multiplicity 2)
Sm (0.500, 0.000, 0.499) (multiplicity 2)



The following is a simulated X-ray powder pattern of La8Pr5Sm. It was derived from a crystal structure in Alexandria, relaxed with GGA-PBE, using CuKα.
Intensities are scaled so that the largest is 100.

Top 8 peaks for 2θ = 10–90°, by angle:
(1 0 3), 2θ 27.0, intensity 71; (3 0 1), 2θ 28.2, intensity 74; (3 1 0), 2θ 28.4, intensity 87; (2 2 2), 2θ 30.6, intensity 28; (1 2 3), 2θ 32.6, intensity 100; (3 1 2), 2θ 33.2, intensity 48; (3 2 1), 2θ 33.6, intensity 53; (3 1 6), 2θ 60.6, intensity 23

Atomic structure:
a = 9.940 Å, b = 9.940 Å, c = 10.489 Å
α = 90.00°, β = 90.00°, γ = 90.00°
Space group I-4 (No. 82)
Symmetry-distinct sites (fractional):
La (0.070, 0.328, 0.402) (multiplicity 8)
La (0.076, 0.188, 0.743) (multiplicity 8)
Pr (0.000, 0.000, 0.500) (multiplicity 2)
Pr (0.104, 0.207, 0.074) (multiplicity 8)
Sm (0.000, 0.500, 0.750) (multiplicity 2)



The following is a simulated X-ray powder pattern of LaPr8Sm3. It was derived from a crystal structure in Alexandria, relaxed with GGA-PBE, using CuKα.
Intensities are scaled so that the largest is 100.

Top 8 peaks for 2θ = 10–90°, by angle:
(1 2 1), 2θ 24.8, intensity 30; (1 1 4), 2θ 29.4, intensity 100; (2 1 1), 2θ 29.9, intensity 53; (1 2 3), 2θ 30.1, intensity 53; (0 3 1), 2θ 30.4, intensity 31; (1 3 2), 2θ 35.1, intensity 27; (2 2 2), 2θ 36.2, intensity 32; (3 3 4), 2θ 58.1, intensity 31

Atomic structure:
a = 6.496 Å, b = 9.001 Å, c = 14.881 Å
α = 90.00°, β = 90.00°, γ = 90.00°
Space group I222 (No. 23)
Symmetry-distinct sites (fractional):
La (0.000, 0.000, 0.000) (multiplicity 2)
Pr (0.134, 0.330, 0.595) (multiplicity 8)
Pr (0.161, 0.148, 0.784) (multiplicity 8)
Sm (0.000, 0.000, 0.500) (multiplicity 2)
Sm (0.000, 0.500, 0.116) (multiplicity 4)



The following is a simulated X-ray powder pattern of La4PrSm4. It was derived from a crystal structure in Alexandria, relaxed with GGA-PBE, using CuKα.
Intensities are scaled so that the largest is 100.

Top 8 peaks for 2θ = 10–90°, by angle:
(3 0 1), 2θ 29.6, intensity 100; (0 0 2), 2θ 34.2, intensity 17; (3 3 0), 2θ 34.4, intensity 34; (3 3 2), 2θ 49.3, intensity 24; (6 0 0), 2θ 49.5, intensity 12; (3 0 3), 2θ 58.5, intensity 15; (6 3 1), 2θ 58.8, intensity 29; (6 0 2), 2θ 61.6, intensity 12

Atomic structure:
a = 11.051 Å, b = 11.051 Å, c = 5.238 Å
α = 90.00°, β = 90.00°, γ = 90.00°
Space group I4/mmm (No. 139)
Symmetry-distinct sites (fractional):
La (0.167, 0.167, 0.000) (multiplicity 8)
Pr (0.000, 0.000, 0.500) (multiplicity 2)
Sm (0.000, 0.336, 0.500) (multiplicity 8)